Simulated X-ray powder pattern of Tl2BiF8 for Cu Kα, 1.54184 Å, from DFT lattice parameters and positions (PBE).
Lines closer than 0.1° are merged.

Atomic structure:
a b c (Å): 7.2573 7.2573 4.5171
angles (deg): 90.00 90.00 120.00
Fractional coordinates of all 11 atoms:
Tl: 0.3333 0.6667 0.2293
Tl: 0.6667 0.3333 0.7707
Bi: 0.0000 0.0000 0.5000
F: 0.1531 0.3095 0.2447
F: 0.1563 0.8469 0.2447
F: 0.3095 0.1563 0.7553
F: 0.3333 0.6667 0.7316
F: 0.6667 0.3333 0.2684
F: 0.6905 0.8437 0.2447
F: 0.8437 0.1531 0.7553
F: 0.8469 0.6905 0.7553

Largest 10 diffraction maxima, by angle, 15° ≤ 2θ ≤ 90°:
d (Å)	2θ (°)	Rel. int.
3.668	24.26	92
3.629	24.53	100
2.580	34.78	22
2.125	42.53	21
2.102	43.02	45
2.095	43.18	23
1.834	49.71	19
1.814	50.29	22
1.637	56.20	21
1.626	56.59	19



Simulated X-ray powder pattern of Tl3BiF6 for Cu Kα, 1.54184 Å, from DFT lattice parameters and positions (PBE).
Lines closer than 0.1° are merged.

Atomic structure:
a b c (Å): 6.6502 6.9863 11.5987
angles (deg): 90.00 124.06 90.00
Fractional coordinates of all 20 atoms:
Tl: 0.0000 0.0000 0.0000
Tl: 0.0000 0.5000 0.5000
Tl: 0.2354 0.0413 0.7475
Tl: 0.2354 0.4587 0.2475
Tl: 0.7646 0.5413 0.7525
Tl: 0.7646 0.9587 0.2525
Bi: 0.5000 0.0000 0.5000
Bi: 0.5000 0.5000 0.0000
F: 0.1609 0.1638 0.4497
F: 0.1609 0.3362 0.9497
F: 0.2770 0.7231 0.4319
F: 0.2770 0.7769 0.9319
F: 0.3964 0.0538 0.2775
F: 0.3964 0.4462 0.7775
F: 0.6036 0.5538 0.2225
F: 0.6036 0.9462 0.7225
F: 0.7230 0.2231 0.0681
F: 0.7230 0.2769 0.5681
F: 0.8391 0.6638 0.0503
F: 0.8391 0.8362 0.5503

Largest 10 diffraction maxima, by angle, 15° ≤ 2θ ≤ 90°:
d (Å)	2θ (°)	Rel. int.
3.493	25.50	48
3.421	26.04	100
3.382	26.35	97
3.325	26.82	46
2.406	37.38	66
2.003	45.28	20
1.995	45.47	18
1.979	45.84	23
1.945	46.70	26
1.923	47.26	23



Simulated X-ray powder pattern of TlBiF4 for Cu Kα, 1.54184 Å, from DFT lattice parameters and positions (PBE).
Lines closer than 0.1° are merged.

Atomic structure:
a b c (Å): 3.8534 8.2560 6.7188
angles (deg): 90.00 90.00 90.00
Fractional coordinates of all 12 atoms:
Tl: 0.0000 0.1368 0.0000
Tl: 0.0000 0.8632 0.5000
Bi: 0.5000 0.3563 0.5136
Bi: 0.5000 0.6437 0.0136
F: 0.0000 0.2242 0.3933
F: 0.0000 0.3956 0.7240
F: 0.0000 0.6044 0.2240
F: 0.0000 0.7758 0.8933
F: 0.5000 0.1332 0.6884
F: 0.5000 0.3748 0.1408
F: 0.5000 0.6252 0.6408
F: 0.5000 0.8668 0.1884

Largest 10 diffraction maxima, by angle, 15° ≤ 2θ ≤ 90°:
d (Å)	2θ (°)	Rel. int.
3.517	25.32	100
3.492	25.51	42
3.359	26.53	44
3.098	28.81	88
2.421	37.14	42
2.240	40.27	27
1.969	46.11	26
1.885	48.28	27
1.863	48.88	34
1.690	54.29	26



Simulated X-ray powder pattern of Tl5Bi2F12 for Cu Kα, 1.54184 Å, from DFT lattice parameters and positions (PBE).
Lines closer than 0.1° are merged.

Atomic structure:
a b c (Å): 8.1509 8.1509 7.5025
angles (deg): 116.61 116.61 59.82
Fractional coordinates of all 19 atoms:
Tl: 0.0000 0.0000 0.0000
Tl: 0.2779 0.2779 0.0600
Tl: 0.3032 0.3032 0.6489
Tl: 0.6968 0.6968 0.3511
Tl: 0.7220 0.7220 0.9400
Bi: 0.2457 0.7543 0.5000
Bi: 0.7543 0.2457 0.5000
F: 0.0829 0.0829 0.4562
F: 0.0970 0.6999 0.1397
F: 0.1312 0.4968 0.3923
F: 0.3001 0.9030 0.8603
F: 0.4946 0.4946 0.3174
F: 0.4968 0.1312 0.3923
F: 0.5032 0.8688 0.6077
F: 0.5054 0.5054 0.6826
F: 0.6999 0.0970 0.1397
F: 0.8688 0.5032 0.6077
F: 0.9030 0.3001 0.8603
F: 0.9171 0.9171 0.5438

Largest 10 diffraction maxima, by angle, 15° ≤ 2θ ≤ 90°:
d (Å)	2θ (°)	Rel. int.
4.061	21.89	44
3.613	24.64	94
3.434	25.94	74
3.420	26.06	55
3.373	26.42	100
3.291	27.09	95
3.164	28.20	88
3.025	29.53	52
2.756	32.48	45
2.025	44.75	47



Simulated X-ray powder pattern of Tl5BiF8 for Cu Kα, 1.54184 Å, from DFT lattice parameters and positions (PBE).
Lines closer than 0.1° are merged.

Atomic structure:
a b c (Å): 7.9336 7.9336 8.0066
angles (deg): 119.70 119.70 60.61
Fractional coordinates of all 14 atoms:
Tl: 0.0001 0.9999 0.0000
Tl: 0.9999 0.4999 0.9999
Tl: 0.3691 0.3691 0.6039
Tl: 0.5001 0.0001 0.0001
Tl: 0.6309 0.6309 0.3961
Bi: 0.0001 0.9999 0.5000
F: 0.2013 0.7968 0.7028
F: 0.2032 0.7987 0.2972
F: 0.2042 0.2054 0.7053
F: 0.2456 0.2447 0.2312
F: 0.7553 0.7544 0.7688
F: 0.7946 0.7958 0.2947
F: 0.7967 0.2009 0.7022
F: 0.7991 0.2033 0.2978

Largest 10 diffraction maxima, by angle, 15° ≤ 2θ ≤ 90°:
d (Å)	2θ (°)	Rel. int.
4.003	22.21	39
3.419	26.06	78
3.403	26.19	100
3.388	26.30	43
3.279	27.20	23
3.259	27.37	31
2.183	41.37	30
2.174	41.54	38
2.002	45.31	68
1.983	45.75	34



Simulated X-ray powder pattern of TlBi2F6 for Cu Kα, 1.54184 Å, from DFT lattice parameters and positions (PBE).
Lines closer than 0.1° are merged.

Atomic structure:
a b c (Å): 7.9752 7.9752 5.9237
angles (deg): 105.56 105.56 82.67
Fractional coordinates of all 18 atoms:
Tl: 0.1462 0.8538 0.7500
Tl: 0.8538 0.1462 0.2500
Bi: 0.2433 0.4258 0.0231
Bi: 0.4258 0.2433 0.5231
Bi: 0.5742 0.7567 0.4769
Bi: 0.7567 0.5742 0.9769
F: 0.0367 0.6526 0.9984
F: 0.1373 0.2951 0.6019
F: 0.2951 0.1373 0.1019
F: 0.3405 0.5863 0.4545
F: 0.3474 0.9633 0.5016
F: 0.4137 0.6595 0.0455
F: 0.5863 0.3405 0.9545
F: 0.6526 0.0367 0.4984
F: 0.6595 0.4137 0.5455
F: 0.7049 0.8627 0.8981
F: 0.8627 0.7049 0.3981
F: 0.9633 0.3474 0.0016

Largest 10 diffraction maxima, by angle, 15° ≤ 2θ ≤ 90°:
d (Å)	2θ (°)	Rel. int.
4.042	21.99	62
3.815	23.32	28
3.590	24.80	100
3.515	25.34	66
2.930	30.51	27
2.739	32.70	22
2.634	34.04	23
2.420	37.15	26
2.333	38.59	21
2.029	44.65	28